Starting from a cell relaxed with PBE, the powder X-ray diffraction pattern of Dy4TmAl2 was simulated for λ = 1.5418 Å (Cu Kα).
Intensities are scaled so that the largest is 1000.

Cell and atoms:
Unit cell a=5.974 b=10.290 c=6.787 alpha=90.00 beta=110.71 gamma=90.00
Space group P2_1/c (No. 14)
Asymmetric unit:
Dy1 0.004 0.160 0.499
Dy2 0.496 0.708 0.499
Tm1 0.000 0.000 0.000
Al1 0.488 0.501 0.184

Top 6 peaks for 2θ from 10° to 90°, by intensity:
(1 3 -1), d 2.864, 31.23 deg, I 1000
(0 0 2), d 3.174, 28.11 deg, I 726
(1 3 1), d 2.486, 36.13 deg, I 687
(2 0 0), d 2.794, 32.03 deg, I 646
(2 0 -2), d 2.603, 34.46 deg, I 420
(1 3 -3), d 1.888, 48.19 deg, I 247



Starting from a cell relaxed with PBE, the powder X-ray diffraction pattern of Ca3La2Sb3O14 was simulated for λ = 1.5418 Å (Cu Kα).
Intensities are scaled so that the largest is 1000.

Cell and atoms:
Unit cell a=13.100 b=7.636 c=7.563 alpha=90.00 beta=124.96 gamma=90.00
Space group C2/m (No. 12)
Asymmetric unit:
Ca1 0.000 0.000 0.000
Ca2 0.000 0.000 0.500
Ca3 0.000 0.500 0.000
La1 0.250 0.250 0.500
Sb1 0.000 0.500 0.500
Sb2 0.250 0.250 0.000
O1 0.093 0.500 0.366
O2 0.115 0.299 0.682
O3 0.124 0.000 0.380
O4 0.136 0.264 0.090
O5 0.189 0.000 0.906

Top 6 peaks for 2θ from 10° to 90°, by intensity:
(2 2 0), d 3.111, 28.69 deg, I 1000
(4 0 0), d 2.686, 33.36 deg, I 582
(4 0 -2), d 3.084, 28.95 deg, I 525
(0 0 2), d 3.099, 28.81 deg, I 500
(2 2 2), d 1.903, 47.81 deg, I 360
(6 2 -2), d 1.895, 48.00 deg, I 302



Starting from a cell relaxed with PBE, the powder X-ray diffraction pattern of HfTl2SnTe4 was simulated for λ = 1.5418 Å (Cu Kα).
Intensities are scaled so that the largest is 1000.

Cell and atoms:
Unit cell a=7.756 b=4.338 c=8.342 alpha=90.00 beta=106.56 gamma=90.00
Space group P2/m (No. 10)
Asymmetric unit:
Hf1 0.000 0.000 0.000
Tl1 0.000 0.500 0.500
Tl2 0.500 0.000 0.500
Sn1 0.500 0.500 0.000
Te1 0.217 0.500 0.202
Te2 0.240 0.000 0.790

Top 6 peaks for 2θ from 10° to 90°, by intensity:
(1 1 1), d 3.219, 27.71 deg, I 1000
(3 1 -1), d 2.220, 40.63 deg, I 243
(1 1 -3), d 2.336, 38.54 deg, I 236
(2 0 2), d 2.402, 37.44 deg, I 128
(2 2 -2), d 1.799, 50.76 deg, I 125
(0 2 0), d 2.169, 41.63 deg, I 120



Starting from a cell relaxed with PBE, the powder X-ray diffraction pattern of Fe11MoC4 was simulated for λ = 1.5418 Å (Cu Kα).
Intensities are scaled so that the largest is 1000.

Cell and atoms:
Unit cell a=2.922 b=5.694 c=10.029 alpha=90.00 beta=90.00 gamma=90.00
Space group Pmmm (No. 47)
Asymmetric unit:
Fe1 0.000 0.000 0.000
Fe2 0.000 0.000 0.321
Fe3 0.000 0.500 0.315
Fe4 0.500 0.244 0.189
Fe5 0.500 0.260 0.500
Mo1 0.000 0.500 0.000
C1 0.000 0.000 0.500
C2 0.000 0.500 0.500
C3 0.500 0.230 0.000

Top 6 peaks for 2θ from 10° to 90°, by intensity:
(1 2 0), d 2.039, 44.42 deg, I 1000
(1 0 3), d 2.200, 41.02 deg, I 953
(0 2 3), d 2.168, 41.67 deg, I 907
(1 2 6), d 1.293, 73.22 deg, I 285
(2 2 3), d 1.212, 79.03 deg, I 243
(1 4 3), d 1.195, 80.33 deg, I 230



Starting from a cell relaxed with PBE, the powder X-ray diffraction pattern of GaCuIr was simulated for λ = 1.5418 Å (Cu Kα).
Intensities are scaled so that the largest is 1000.

Cell and atoms:
Unit cell a=3.041 b=3.041 c=8.856 alpha=90.00 beta=90.00 gamma=90.00
Space group I4mm (No. 107)
Asymmetric unit:
Ga1 0.000 0.000 0.000
Cu1 0.000 0.000 0.657
Ir1 0.000 0.000 0.338

Top 6 peaks for 2θ from 10° to 90°, by intensity:
(1 0 3), d 2.118, 42.69 deg, I 1000
(1 1 0), d 2.150, 42.02 deg, I 529
(2 1 3), d 1.235, 77.24 deg, I 340
(1 0 1), d 2.876, 31.10 deg, I 315
(0 0 2), d 4.428, 20.05 deg, I 196
(2 0 0), d 1.520, 60.94 deg, I 173



Starting from a cell relaxed with PBE, the powder X-ray diffraction pattern of La5Ga2Ni was simulated for λ = 1.5418 Å (Cu Kα).
Intensities are scaled so that the largest is 1000.

Cell and atoms:
Unit cell a=7.807 b=12.363 c=4.813 alpha=90.00 beta=90.00 gamma=90.00
Space group Pbam (No. 55)
Asymmetric unit:
La1 0.000 0.000 0.000
La2 0.139 0.294 0.000
La3 0.179 0.579 0.500
Ga1 0.080 0.837 0.500
Ni1 0.000 0.500 0.000

Top 6 peaks for 2θ from 10° to 90°, by intensity:
(2 1 1), d 2.944, 30.36 deg, I 1000
(0 0 2), d 2.406, 37.37 deg, I 528
(2 2 1), d 2.722, 32.90 deg, I 520
(1 3 1), d 2.905, 30.77 deg, I 512
(1 4 0), d 2.874, 31.12 deg, I 482
(1 2 1), d 3.415, 26.09 deg, I 439



Starting from a cell relaxed with PBE, the powder X-ray diffraction pattern of ThTl4 was simulated for λ = 1.5418 Å (Cu Kα).
Intensities are scaled so that the largest is 1000.

Cell and atoms:
Unit cell a=4.993 b=6.855 c=16.880 alpha=90.00 beta=90.00 gamma=90.00
Space group Imma (No. 74)
Asymmetric unit:
Th1 0.000 0.250 0.090
Tl1 0.000 0.000 0.500
Tl2 0.000 0.013 0.304
Tl3 0.000 0.250 0.888

Top 6 peaks for 2θ from 10° to 90°, by intensity:
(1 0 5), d 2.797, 32.00 deg, I 1000
(1 2 1), d 2.787, 32.12 deg, I 902
(2 0 0), d 2.497, 35.97 deg, I 388
(0 2 4), d 2.660, 33.69 deg, I 337
(3 0 5), d 1.492, 62.21 deg, I 295
(1 4 5), d 1.461, 63.69 deg, I 276



Starting from a cell relaxed with PBE, the powder X-ray diffraction pattern of SeO3 was simulated for λ = 1.5418 Å (Cu Kα).
Intensities are scaled so that the largest is 1000.

Cell and atoms:
Unit cell a=10.193 b=10.193 c=5.579 alpha=90.00 beta=90.00 gamma=90.00
Space group P-42_1c (No. 114)
Asymmetric unit:
Se1 0.009 0.220 0.056
O1 0.056 0.670 0.886
O2 0.091 0.244 0.298
O3 0.100 0.116 0.846

Top 6 peaks for 2θ from 10° to 90°, by intensity:
(1 0 1), d 4.894, 18.13 deg, I 1000
(2 2 0), d 3.604, 24.71 deg, I 636
(3 2 1), d 2.522, 35.60 deg, I 415
(2 1 1), d 3.530, 25.23 deg, I 280
(2 0 1), d 3.763, 23.64 deg, I 158
(1 1 0), d 7.207, 12.28 deg, I 145



Starting from a cell relaxed with PBE, the powder X-ray diffraction pattern of TlSb2AuSe4 was simulated for λ = 1.5418 Å (Cu Kα).
Intensities are scaled so that the largest is 1000.

Cell and atoms:
Unit cell a=6.440 b=7.192 c=10.952 alpha=90.00 beta=90.00 gamma=90.00
Space group I222 (No. 23)
Asymmetric unit:
Tl1 0.000 0.000 0.000
Sb1 0.000 0.500 0.295
Au1 0.000 0.000 0.500
Se1 0.242 0.317 0.145

Top 6 peaks for 2θ from 10° to 90°, by intensity:
(1 1 2), d 3.607, 24.68 deg, I 1000
(2 2 0), d 2.399, 37.49 deg, I 249
(1 3 2), d 2.079, 43.54 deg, I 167
(3 1 2), d 1.926, 47.20 deg, I 156
(2 0 4), d 2.086, 43.38 deg, I 140
(0 2 4), d 2.178, 41.45 deg, I 123



Starting from a cell relaxed with PBE, the powder X-ray diffraction pattern of Cs2Te3 was simulated for λ = 1.5418 Å (Cu Kα).
Intensities are scaled so that the largest is 1000.

Cell and atoms:
Unit cell a=8.628 b=12.529 c=8.715 alpha=90.00 beta=90.00 gamma=90.00
Space group Cmc2_1 (No. 36)
Asymmetric unit:
Cs1 0.000 0.085 0.000
Cs2 0.000 0.410 0.216
Te1 0.000 0.283 0.659
Te2 0.246 0.169 0.354

Top 6 peaks for 2θ from 10° to 90°, by intensity:
(2 2 1), d 3.290, 27.10 deg, I 1000
(1 3 1), d 3.452, 25.81 deg, I 859
(1 1 2), d 3.715, 23.96 deg, I 629
(2 0 2), d 3.066, 29.13 deg, I 581
(0 4 1), d 2.948, 30.32 deg, I 486
(2 4 3), d 1.910, 47.61 deg, I 427